The following is a theoretical PXRD pattern of Li15Au4. It was derived from a crystal structure in Alexandria, relaxed with PBE, using Cu Kα (weighted mean of Kα1 and Kα2).

Main lines, most intense first (2θ = 10–90°):
2θ (°), d [Å], Rel. int.
23.3, 3.819, 100.0
26.1, 3.416, 61.7
42.7, 2.118, 56.5
20.1, 4.410, 41.1
46.0, 1.972, 34.1
39.1, 2.303, 32.7
31.0, 2.887, 27.0
63.3, 1.470, 19.9
55.1, 1.667, 17.3
40.9, 2.205, 17.0

Cell and atoms:
a = 9.3546 Å, b = 9.3546 Å, c = 9.3546 Å
α = 109.47°, β = 109.47°, γ = 109.47°
Fractional coordinates of all 38 atoms:
Li: 0.0382 0.6169 0.3431
Li: 0.0787 0.3049 0.9618
Li: 0.1169 0.5382 0.8431
Li: 0.1250 0.8750 0.2500
Li: 0.1569 0.7738 0.6951
Li: 0.1951 0.2738 0.6569
Li: 0.2262 0.4213 0.3831
Li: 0.2500 0.1250 0.8750
Li: 0.2738 0.6569 0.1951
Li: 0.3049 0.9618 0.0787
Li: 0.3431 0.0382 0.6169
Li: 0.3750 0.6250 0.7500
Li: 0.3831 0.2262 0.4213
Li: 0.4213 0.3831 0.2262
Li: 0.4618 0.8049 0.5787
Li: 0.5382 0.8431 0.1169
Li: 0.5787 0.4618 0.8049
Li: 0.6169 0.3431 0.0382
Li: 0.6250 0.7500 0.3750
Li: 0.6569 0.1951 0.2738
Li: 0.6951 0.1569 0.7738
Li: 0.7262 0.8831 0.9213
Li: 0.7500 0.3750 0.6250
Li: 0.7738 0.6951 0.1569
Li: 0.8049 0.5787 0.4618
Li: 0.8431 0.1169 0.5382
Li: 0.8750 0.2500 0.1250
Li: 0.8831 0.9213 0.7262
Li: 0.9213 0.7262 0.8831
Li: 0.9618 0.0787 0.3049
Au: 0.0000 0.4093 0.5000
Au: 0.0000 0.9093 0.5000
Au: 0.0907 0.0907 0.0907
Au: 0.4093 0.5000 0.0000
Au: 0.5000 0.0000 0.4093
Au: 0.5000 0.0000 0.9093
Au: 0.5907 0.5907 0.5907
Au: 0.9093 0.5000 0.0000